Computed X-ray diffraction stick pattern
Compound: TlSbSe2
Radiation: Cu Kα X-rays
Structure: the PBE geometry in the Materials Project
No peak broadening, texture or thermal motion is included.

The 12 most intense peaks (2θ from 10° to 90°), in order of rising 2θ:
hkl	d_spacing	I_rel
1 0 0	4.573	15.7
0 1 1	3.386	11.6
1 0 1	3.057	100.0
0 2 0	2.987	50.9
2 0 0	2.287	24.2
1 2 1	2.136	74.2
0 0 2	2.055	12.8
2 2 0	1.816	23.9
0 2 2	1.693	13.9
2 2 2	1.361	13.4
1 4 1	1.342	16.3
3 2 1	1.289	14.3

Cell and atoms:
```
TlSbSe2
1.0
4.5734 0.0000 0.0000
0.0000 5.9732 0.0000
0.0000 0.0000 4.1104
Tl Sb Se
1 1 2
direct
0.0000 0.0000 0.0000
0.0000 0.5000 0.9003
0.5000 0.0000 0.4732
0.5000 0.5000 0.5195
```